This entry pairs a crystal structure of Mn2Sb with its simulated PXRD pattern. Radiation: CuKα. Structure: the GGA-PBE geometry in the Materials Project.

Atomic structure:
a b c (Å): 3.9284 3.9284 6.4256
angles (deg): 90.00 90.00 90.00
Space group P4/nmm (No. 129, origin choice 2)
Unique sites:
Mn 0.2500 0.2500 0.2098 x2
Mn 0.2500 0.7500 0.5000 x2
Sb 0.2500 0.2500 0.7849 x2

The 8 most intense peaks (15° ≤ 2θ ≤ 90°), sorted by position:
- (1 0 1), d = 3.352 Å, I 32
- (0 0 2), d = 3.213 Å, I 19
- (1 1 0), d = 2.778 Å, I 36
- (1 1 1), d = 2.550 Å, I 36
- (1 1 2), d = 2.101 Å, I 100
- (2 0 0), d = 1.964 Å, I 48
- (1 1 5), d = 1.166 Å, I 22
- (3 1 2), d = 1.159 Å, I 27